1.
Hf2Zr3Cu3: simulated PXRD pattern (Cu Kα (λ = 1.5418 Å)), based on the GGA-PBE geometry in Alexandria.
Intensities are scaled so that the largest is 100.

```
data_Hf2Zr3Cu3
_chemical_formula_sum 'Hf4 Zr6 Cu6'
_cell_length_a 3.1832
_cell_length_b 4.8711
_cell_length_c 19.4545
_cell_angle_alpha 90.00
_cell_angle_beta 90.00
_cell_angle_gamma 90.00
_space_group_name_H-M_alt 'P 1'
_space_group_IT_number 1
loop_
_space_group_symop_operation_xyz
'x,y,z'
loop_
_atom_site_label
_atom_site_type_symbol
_atom_site_fract_x
_atom_site_fract_y
_atom_site_fract_z
Hf1 Hf 0.0000 0.0000 0.2304
Hf2 Hf 0.0000 0.0000 0.7696
Hf3 Hf 0.5000 0.5000 0.2696
Hf4 Hf 0.5000 0.5000 0.7304
Zr1 Zr 0.0000 0.0000 0.0000
Zr2 Zr 0.0000 0.5000 0.1241
Zr3 Zr 0.0000 0.5000 0.8759
Zr4 Zr 0.5000 0.0000 0.3759
Zr5 Zr 0.5000 0.0000 0.6241
Zr6 Zr 0.5000 0.5000 0.5000
Cu1 Cu 0.0000 0.0000 0.5000
Cu2 Cu 0.0000 0.5000 0.3857
Cu3 Cu 0.0000 0.5000 0.6143
Cu4 Cu 0.5000 0.0000 0.1143
Cu5 Cu 0.5000 0.0000 0.8857
Cu6 Cu 0.5000 0.5000 0.0000
```

Peak list (8 most intense, 5 to 70 degrees two-theta, by angle)
9.727 Å, I = 27
3.040 Å, I = 9
2.434 Å, I = 51
2.414 Å, I = 9
2.337 Å, I = 100
1.721 Å, I = 13
1.592 Å, I = 8
1.386 Å, I = 25

2.
HfZrCu: simulated PXRD pattern (Cu Kα (λ = 1.5418 Å)), based on the GGA-PBE geometry in Alexandria.
Intensities are scaled so that the largest is 100.

```
data_HfZrCu
_chemical_formula_sum 'Hf4 Zr4 Cu4'
_cell_length_a 11.7244
_cell_length_b 3.1963
_cell_length_c 6.3941
_cell_angle_alpha 90.00
_cell_angle_beta 105.80
_cell_angle_gamma 90.00
_space_group_name_H-M_alt 'P 1'
_space_group_IT_number 1
loop_
_space_group_symop_operation_xyz
'x,y,z'
loop_
_atom_site_label
_atom_site_type_symbol
_atom_site_fract_x
_atom_site_fract_y
_atom_site_fract_z
Hf1 Hf 0.1555 0.0000 0.3294
Hf2 Hf 0.3445 0.5000 0.6706
Hf3 Hf 0.6555 0.5000 0.3294
Hf4 Hf 0.8445 0.0000 0.6706
Zr1 Zr 0.1559 0.0000 0.8262
Zr2 Zr 0.3441 0.5000 0.1738
Zr3 Zr 0.6559 0.5000 0.8262
Zr4 Zr 0.8441 0.0000 0.1738
Cu1 Cu 0.0000 0.5000 0.0000
Cu2 Cu 0.0000 0.5000 0.5000
Cu3 Cu 0.5000 0.0000 0.0000
Cu4 Cu 0.5000 0.0000 0.5000
```

Peak list (8 most intense, 5 to 70 degrees two-theta, by angle)
4.871 Å, I = 8
3.076 Å, I = 11
2.436 Å, I = 100
2.260 Å, I = 42
1.880 Å, I = 10
1.764 Å, I = 5
1.598 Å, I = 14
1.446 Å, I = 17

3.
Cu3Hg4: simulated PXRD pattern (Cu Kα (λ = 1.5418 Å)), based on the GGA-PBE geometry in Alexandria.
Intensities are scaled so that the largest is 100.

```
data_Cu3Hg4
_chemical_formula_sum 'Cu3 Hg4'
_cell_length_a 5.2621
_cell_length_b 5.2621
_cell_length_c 5.4014
_cell_angle_alpha 90.00
_cell_angle_beta 90.00
_cell_angle_gamma 120.00
_space_group_name_H-M_alt 'P 1'
_space_group_IT_number 1
loop_
_space_group_symop_operation_xyz
'x,y,z'
loop_
_atom_site_label
_atom_site_type_symbol
_atom_site_fract_x
_atom_site_fract_y
_atom_site_fract_z
Cu1 Cu 0.0000 0.5000 0.0000
Cu2 Cu 0.5000 0.0000 0.0000
Cu3 Cu 0.5000 0.5000 0.0000
Hg1 Hg 0.0000 0.0000 0.2498
Hg2 Hg 0.0000 0.0000 0.7502
Hg3 Hg 0.3333 0.6667 0.5000
Hg4 Hg 0.6667 0.3333 0.5000
```

Peak list (8 most intense, 5 to 70 degrees two-theta, by angle)
2.631 Å, I = 84
2.365 Å, I = 52
2.323 Å, I = 100
2.279 Å, I = 17
2.099 Å, I = 27
1.742 Å, I = 15
1.519 Å, I = 16
1.452 Å, I = 46

4.
Cu2Hg: simulated PXRD pattern (Cu Kα (λ = 1.5418 Å)), based on the GGA-PBE geometry in Alexandria.
Intensities are scaled so that the largest is 100.

```
data_Cu2Hg
_chemical_formula_sum 'Cu8 Hg4'
_cell_length_a 4.3685
_cell_length_b 2.9428
_cell_length_c 14.5072
_cell_angle_alpha 90.00
_cell_angle_beta 90.00
_cell_angle_gamma 90.00
_space_group_name_H-M_alt 'P 1'
_space_group_IT_number 1
loop_
_space_group_symop_operation_xyz
'x,y,z'
loop_
_atom_site_label
_atom_site_type_symbol
_atom_site_fract_x
_atom_site_fract_y
_atom_site_fract_z
Cu1 Cu 0.0000 0.0000 0.0000
Cu2 Cu 0.0000 0.0000 0.3202
Cu3 Cu 0.0000 0.0000 0.6738
Cu4 Cu 0.0000 0.5000 0.1738
Cu5 Cu 0.0000 0.5000 0.5000
Cu6 Cu 0.0000 0.5000 0.8202
Cu7 Cu 0.5000 0.0000 0.7795
Cu8 Cu 0.5000 0.5000 0.2795
Hg1 Hg 0.5000 0.0000 0.1220
Hg2 Hg 0.5000 0.0000 0.4356
Hg3 Hg 0.5000 0.5000 0.6220
Hg4 Hg 0.5000 0.5000 0.9356
```

Peak list (8 most intense, 5 to 70 degrees two-theta, by angle)
4.369 Å, I = 28
2.790 Å, I = 16
2.514 Å, I = 32
2.418 Å, I = 16
2.184 Å, I = 32
2.179 Å, I = 100
2.115 Å, I = 39
1.649 Å, I = 18

5.
Cu7Hg6: simulated PXRD pattern (Cu Kα (λ = 1.5418 Å)), based on the GGA-PBE geometry in Alexandria.
Intensities are scaled so that the largest is 100.

```
data_Cu7Hg6
_chemical_formula_sum 'Cu14 Hg12'
_cell_length_a 8.2320
_cell_length_b 8.2320
_cell_length_c 8.2320
_cell_angle_alpha 105.08
_cell_angle_beta 105.08
_cell_angle_gamma 105.08
_space_group_name_H-M_alt 'P 1'
_space_group_IT_number 1
loop_
_space_group_symop_operation_xyz
'x,y,z'
loop_
_atom_site_label
_atom_site_type_symbol
_atom_site_fract_x
_atom_site_fract_y
_atom_site_fract_z
Cu1 Cu 0.0000 0.0000 0.0000
Cu2 Cu 0.1483 0.1483 0.3483
Cu3 Cu 0.1483 0.3483 0.1483
Cu4 Cu 0.1497 0.4786 0.4786
Cu5 Cu 0.3483 0.1483 0.1483
Cu6 Cu 0.3485 0.3485 0.6682
Cu7 Cu 0.3485 0.6682 0.3485
Cu8 Cu 0.4130 0.4130 0.4130
Cu9 Cu 0.4769 0.6788 0.6788
Cu10 Cu 0.4786 0.1497 0.4786
Cu11 Cu 0.4786 0.4786 0.1497
Cu12 Cu 0.6682 0.3485 0.3485
Cu13 Cu 0.6788 0.4769 0.6788
Cu14 Cu 0.6788 0.6788 0.4769
Hg1 Hg 0.1640 0.1640 0.8221
Hg2 Hg 0.1640 0.8221 0.1640
Hg3 Hg 0.2870 0.6015 0.9093
Hg4 Hg 0.2870 0.9093 0.6015
Hg5 Hg 0.6015 0.2870 0.9093
Hg6 Hg 0.6015 0.9093 0.2870
Hg7 Hg 0.7251 0.7251 0.9986
Hg8 Hg 0.7251 0.9986 0.7251
Hg9 Hg 0.8221 0.1640 0.1640
Hg10 Hg 0.9093 0.2870 0.6015
Hg11 Hg 0.9093 0.6015 0.2870
Hg12 Hg 0.9986 0.7251 0.7251
```

Peak list (8 most intense, 5 to 70 degrees two-theta, by angle)
3.925 Å, I = 16
2.649 Å, I = 21
2.480 Å, I = 100
2.470 Å, I = 17
2.178 Å, I = 57
1.975 Å, I = 20
1.637 Å, I = 15
1.508 Å, I = 17

6.
CuHg: simulated PXRD pattern (Cu Kα (λ = 1.5418 Å)), based on the GGA-PBE geometry in Alexandria.
Intensities are scaled so that the largest is 100.

```
data_CuHg
_chemical_formula_sum 'Cu8 Hg8'
_cell_length_a 9.6228
_cell_length_b 9.6228
_cell_length_c 3.3173
_cell_angle_alpha 90.00
_cell_angle_beta 90.00
_cell_angle_gamma 90.00
_space_group_name_H-M_alt 'P 1'
_space_group_IT_number 1
loop_
_space_group_symop_operation_xyz
'x,y,z'
loop_
_atom_site_label
_atom_site_type_symbol
_atom_site_fract_x
_atom_site_fract_y
_atom_site_fract_z
Cu1 Cu 0.0774 0.6146 0.0000
Cu2 Cu 0.1146 0.4226 0.5000
Cu3 Cu 0.3854 0.0774 0.0000
Cu4 Cu 0.4226 0.8854 0.5000
Cu5 Cu 0.5774 0.1146 0.5000
Cu6 Cu 0.6146 0.9226 0.0000
Cu7 Cu 0.8854 0.5774 0.5000
Cu8 Cu 0.9226 0.3854 0.0000
Hg1 Hg 0.1194 0.1825 0.0000
Hg2 Hg 0.1825 0.8806 0.0000
Hg3 Hg 0.3175 0.6194 0.5000
Hg4 Hg 0.3806 0.3175 0.5000
Hg5 Hg 0.6194 0.6825 0.5000
Hg6 Hg 0.6825 0.3806 0.5000
Hg7 Hg 0.8175 0.1194 0.0000
Hg8 Hg 0.8806 0.8175 0.0000
```

Peak list (8 most intense, 5 to 70 degrees two-theta, by angle)
3.136 Å, I = 95
3.043 Å, I = 82
2.627 Å, I = 27
2.406 Å, I = 41
2.306 Å, I = 54
2.152 Å, I = 48
2.079 Å, I = 100
1.909 Å, I = 27

7.
CuHg: simulated PXRD pattern (Cu Kα (λ = 1.5418 Å)), based on the GGA-PBE geometry in Alexandria.
Intensities are scaled so that the largest is 100.

```
data_CuHg
_chemical_formula_sum 'Cu6 Hg6'
_cell_length_a 3.0056
_cell_length_b 11.7875
_cell_length_c 6.4619
_cell_angle_alpha 90.00
_cell_angle_beta 90.00
_cell_angle_gamma 90.00
_space_group_name_H-M_alt 'P 1'
_space_group_IT_number 1
loop_
_space_group_symop_operation_xyz
'x,y,z'
loop_
_atom_site_label
_atom_site_type_symbol
_atom_site_fract_x
_atom_site_fract_y
_atom_site_fract_z
Cu1 Cu 0.2500 0.1463 0.0135
Cu2 Cu 0.2500 0.3537 0.0135
Cu3 Cu 0.2500 0.7500 0.7350
Cu4 Cu 0.7500 0.2500 0.2650
Cu5 Cu 0.7500 0.6463 0.9865
Cu6 Cu 0.7500 0.8537 0.9865
Hg1 Hg 0.2500 0.2500 0.6293
Hg2 Hg 0.2500 0.5146 0.7157
Hg3 Hg 0.2500 0.9854 0.7157
Hg4 Hg 0.7500 0.0146 0.2843
Hg5 Hg 0.7500 0.4854 0.2843
Hg6 Hg 0.7500 0.7500 0.3707
```

Peak list (8 most intense, 5 to 70 degrees two-theta, by angle)
2.947 Å, I = 48
2.833 Å, I = 31
2.725 Å, I = 100
2.681 Å, I = 32
2.201 Å, I = 25
2.177 Å, I = 43
2.154 Å, I = 22
2.001 Å, I = 82

8.
CuHg: simulated PXRD pattern (Cu Kα (λ = 1.5418 Å)), based on the GGA-PBE geometry in Alexandria.
Intensities are scaled so that the largest is 100.

```
data_CuHg
_chemical_formula_sum 'Cu6 Hg6'
_cell_length_a 2.9963
_cell_length_b 11.8652
_cell_length_c 6.3677
_cell_angle_alpha 90.00
_cell_angle_beta 90.00
_cell_angle_gamma 90.00
_space_group_name_H-M_alt 'P 1'
_space_group_IT_number 1
loop_
_space_group_symop_operation_xyz
'x,y,z'
loop_
_atom_site_label
_atom_site_type_symbol
_atom_site_fract_x
_atom_site_fract_y
_atom_site_fract_z
Cu1 Cu 0.0000 0.0000 0.0000
Cu2 Cu 0.0000 0.5000 0.5000
Cu3 Cu 0.5000 0.1082 0.2477
Cu4 Cu 0.5000 0.3918 0.7477
Cu5 Cu 0.5000 0.6082 0.7477
Cu6 Cu 0.5000 0.8918 0.2477
Hg1 Hg 0.0000 0.0000 0.5801
Hg2 Hg 0.0000 0.2265 0.9435
Hg3 Hg 0.0000 0.2735 0.4435
Hg4 Hg 0.0000 0.5000 0.0801
Hg5 Hg 0.0000 0.7265 0.4435
Hg6 Hg 0.0000 0.7735 0.9435
```

Peak list (8 most intense, 5 to 70 degrees two-theta, by angle)
3.360 Å, I = 54
2.996 Å, I = 70
2.966 Å, I = 55
2.805 Å, I = 83
2.182 Å, I = 82
2.170 Å, I = 64
2.108 Å, I = 100
2.048 Å, I = 64

9.
CuHg: simulated PXRD pattern (Cu Kα (λ = 1.5418 Å)), based on the GGA-PBE geometry in Alexandria.
Intensities are scaled so that the largest is 100.

```
data_CuHg
_chemical_formula_sum 'Cu4 Hg4'
_cell_length_a 6.2610
_cell_length_b 3.0514
_cell_length_c 7.5545
_cell_angle_alpha 90.00
_cell_angle_beta 90.00
_cell_angle_gamma 90.00
_space_group_name_H-M_alt 'P 1'
_space_group_IT_number 1
loop_
_space_group_symop_operation_xyz
'x,y,z'
loop_
_atom_site_label
_atom_site_type_symbol
_atom_site_fract_x
_atom_site_fract_y
_atom_site_fract_z
Cu1 Cu 0.1545 0.2500 0.0378
Cu2 Cu 0.3455 0.7500 0.5378
Cu3 Cu 0.6545 0.2500 0.4622
Cu4 Cu 0.8455 0.7500 0.9622
Hg1 Hg 0.0226 0.2500 0.6896
Hg2 Hg 0.4774 0.7500 0.1896
Hg3 Hg 0.5226 0.2500 0.8104
Hg4 Hg 0.9774 0.7500 0.3104
```

Peak list (8 most intense, 5 to 70 degrees two-theta, by angle)
3.131 Å, I = 61
2.829 Å, I = 97
2.410 Å, I = 57
2.336 Å, I = 88
2.220 Å, I = 82
2.185 Å, I = 24
2.099 Å, I = 100
1.556 Å, I = 33

10.
CuHg4: simulated PXRD pattern (Cu Kα (λ = 1.5418 Å)), based on the GGA-PBE geometry in Alexandria.
Intensities are scaled so that the largest is 100.

```
data_CuHg4
_chemical_formula_sum 'Cu1 Hg4'
_cell_length_a 3.3907
_cell_length_b 3.3907
_cell_length_c 12.2203
_cell_angle_alpha 90.00
_cell_angle_beta 90.00
_cell_angle_gamma 120.00
_space_group_name_H-M_alt 'P 1'
_space_group_IT_number 1
loop_
_space_group_symop_operation_xyz
'x,y,z'
loop_
_atom_site_label
_atom_site_type_symbol
_atom_site_fract_x
_atom_site_fract_y
_atom_site_fract_z
Cu1 Cu 0.0000 0.0000 0.0000
Hg1 Hg 0.3333 0.6667 0.6062
Hg2 Hg 0.3333 0.6667 0.8445
Hg3 Hg 0.6667 0.3333 0.1555
Hg4 Hg 0.6667 0.3333 0.3938
```

Peak list (8 most intense, 5 to 70 degrees two-theta, by angle)
3.055 Å, I = 25
2.936 Å, I = 22
2.855 Å, I = 100
2.382 Å, I = 42
2.117 Å, I = 51
1.879 Å, I = 22
1.695 Å, I = 31
1.482 Å, I = 18

11.
Cu2Hg: simulated PXRD pattern (Cu Kα (λ = 1.5418 Å)), based on the GGA-PBE geometry in Alexandria.
Intensities are scaled so that the largest is 100.

```
data_Cu2Hg
_chemical_formula_sum 'Cu4 Hg2'
_cell_length_a 7.4892
_cell_length_b 4.3262
_cell_length_c 2.8341
_cell_angle_alpha 90.00
_cell_angle_beta 90.10
_cell_angle_gamma 90.00
_space_group_name_H-M_alt 'P 1'
_space_group_IT_number 1
loop_
_space_group_symop_operation_xyz
'x,y,z'
loop_
_atom_site_label
_atom_site_type_symbol
_atom_site_fract_x
_atom_site_fract_y
_atom_site_fract_z
Cu1 Cu 0.1666 0.0000 0.4416
Cu2 Cu 0.3334 0.5000 0.5584
Cu3 Cu 0.6666 0.5000 0.4416
Cu4 Cu 0.8334 0.0000 0.5584
Hg1 Hg 0.0000 0.5000 0.0000
Hg2 Hg 0.5000 0.0000 0.0000
```

Peak list (8 most intense, 5 to 70 degrees two-theta, by angle)
3.746 Å, I = 44
2.260 Å, I = 100
2.163 Å, I = 70
1.873 Å, I = 7
1.719 Å, I = 4
1.563 Å, I = 24
1.561 Å, I = 7
1.416 Å, I = 11

12.
CuHg: simulated PXRD pattern (Cu Kα (λ = 1.5418 Å)), based on the GGA-PBE geometry in Alexandria.
Intensities are scaled so that the largest is 100.

```
data_CuHg
_chemical_formula_sum 'Cu6 Hg6'
_cell_length_a 2.9623
_cell_length_b 8.6526
_cell_length_c 9.2083
_cell_angle_alpha 90.00
_cell_angle_beta 90.00
_cell_angle_gamma 90.00
_space_group_name_H-M_alt 'P 1'
_space_group_IT_number 1
loop_
_space_group_symop_operation_xyz
'x,y,z'
loop_
_atom_site_label
_atom_site_type_symbol
_atom_site_fract_x
_atom_site_fract_y
_atom_site_fract_z
Cu1 Cu 0.0000 0.0000 0.0000
Cu2 Cu 0.0000 0.5000 0.5000
Cu3 Cu 0.5000 0.2301 0.0184
Cu4 Cu 0.5000 0.2699 0.5184
Cu5 Cu 0.5000 0.7301 0.5184
Cu6 Cu 0.5000 0.7699 0.0184
Hg1 Hg 0.0000 0.0000 0.5055
Hg2 Hg 0.0000 0.2380 0.7665
Hg3 Hg 0.0000 0.2620 0.2665
Hg4 Hg 0.0000 0.5000 0.0055
Hg5 Hg 0.0000 0.7380 0.2665
Hg6 Hg 0.0000 0.7620 0.7665
```

Peak list (8 most intense, 5 to 70 degrees two-theta, by angle)
6.306 Å, I = 11
4.326 Å, I = 13
3.153 Å, I = 50
2.962 Å, I = 21
2.302 Å, I = 24
2.160 Å, I = 100
1.818 Å, I = 11
1.576 Å, I = 14

13.
Cu5Hg7: simulated PXRD pattern (Cu Kα (λ = 1.5418 Å)), based on the GGA-PBE geometry in Alexandria.
Intensities are scaled so that the largest is 100.

```
data_Cu5Hg7
_chemical_formula_sum 'Cu5 Hg7'
_cell_length_a 7.2487
_cell_length_b 7.2487
_cell_length_c 7.2487
_cell_angle_alpha 121.30
_cell_angle_beta 121.30
_cell_angle_gamma 87.76
_space_group_name_H-M_alt 'P 1'
_space_group_IT_number 1
loop_
_space_group_symop_operation_xyz
'x,y,z'
loop_
_atom_site_label
_atom_site_type_symbol
_atom_site_fract_x
_atom_site_fract_y
_atom_site_fract_z
Cu1 Cu 0.0000 0.0000 0.0000
Cu2 Cu 0.0025 0.0025 0.3478
Cu3 Cu 0.0025 0.6546 0.0000
Cu4 Cu 0.6546 0.0025 0.0000
Cu5 Cu 0.6546 0.6546 0.6522
Hg1 Hg 0.1830 0.4732 0.2902
Hg2 Hg 0.1830 0.8929 0.7098
Hg3 Hg 0.4377 0.9377 0.5000
Hg4 Hg 0.4732 0.1830 0.2902
Hg5 Hg 0.5949 0.5949 0.0000
Hg6 Hg 0.8929 0.1830 0.7098
Hg7 Hg 0.9377 0.4377 0.5000
```

Peak list (8 most intense, 5 to 70 degrees two-theta, by angle)
3.553 Å, I = 37
3.040 Å, I = 100
2.938 Å, I = 35
2.348 Å, I = 62
2.318 Å, I = 49
2.310 Å, I = 43
2.264 Å, I = 87
2.064 Å, I = 59

14.
CuHg2: simulated PXRD pattern (Cu Kα (λ = 1.5418 Å)), based on the GGA-PBE geometry in Alexandria.
Intensities are scaled so that the largest is 100.

```
data_CuHg2
_chemical_formula_sum 'Cu3 Hg6'
_cell_length_a 3.3801
_cell_length_b 3.3801
_cell_length_c 18.7794
_cell_angle_alpha 90.00
_cell_angle_beta 90.00
_cell_angle_gamma 120.00
_space_group_name_H-M_alt 'P 1'
_space_group_IT_number 1
loop_
_space_group_symop_operation_xyz
'x,y,z'
loop_
_atom_site_label
_atom_site_type_symbol
_atom_site_fract_x
_atom_site_fract_y
_atom_site_fract_z
Cu1 Cu 0.0000 0.0000 0.0000
Cu2 Cu 0.3333 0.6667 0.6667
Cu3 Cu 0.6667 0.3333 0.3333
Hg1 Hg 0.0000 0.0000 0.5649
Hg2 Hg 0.0000 0.0000 0.7673
Hg3 Hg 0.3333 0.6667 0.2316
Hg4 Hg 0.3333 0.6667 0.4340
Hg5 Hg 0.6667 0.3333 0.1007
Hg6 Hg 0.6667 0.3333 0.8982
```

Peak list (8 most intense, 5 to 70 degrees two-theta, by angle)
3.130 Å, I = 23
2.892 Å, I = 83
2.484 Å, I = 88
2.309 Å, I = 100
2.087 Å, I = 22
1.690 Å, I = 44
1.581 Å, I = 22
1.364 Å, I = 19